Record 1
Theoretical X-ray powder pattern of Co3TeO8 for Cu Kα (λ = 1.5418 Å), from a crystal structure in the Materials Project, relaxed with GGA+U.

Structure:
```
data_Co3TeO8
_cell_length_a 5.9449
_cell_length_b 5.9449
_cell_length_c 14.5532
_cell_angle_alpha 90.00
_cell_angle_beta 90.00
_cell_angle_gamma 120.00
_space_group_name_H-M_alt 'R -3 m'
_space_group_IT_number 166
_space_group_name_Hall '-R 3 2"'
loop_
_atom_site_label
_atom_site_type_symbol
_atom_site_fract_x
_atom_site_fract_y
_atom_site_fract_z
Co1 Co 0.0000 0.5000 0.0000
Te1 Te 0.0000 0.0000 0.0000
O1 O 0.0000 0.0000 0.2770
O2 O 0.0066 0.5033 0.7365
```

Main lines, most intense first (5° ≤ 2θ ≤ 70°):
| two_theta | I_rel |
| --- | --- |
| 18.3 | 100 |
| 43.0 | 41 |
| 35.4 | 40 |
| 62.5 | 23 |
| 56.9 | 18 |
| 37.0 | 17 |
| 65.7 | 16 |
| 47.1 | 13 |
| 21.1 | 6 |
| 30.1 | 4 |

***

Record 2
Theoretical X-ray powder pattern of CoTe6O13 for Cu Kα (λ = 1.5418 Å), from a crystal structure in the Materials Project, relaxed with GGA+U.

Structure:
```
data_CoTe6O13
_cell_length_a 10.3134
_cell_length_b 10.3134
_cell_length_c 19.3476
_cell_angle_alpha 90.00
_cell_angle_beta 90.00
_cell_angle_gamma 120.00
_space_group_name_H-M_alt 'R -3'
_space_group_IT_number 148
_space_group_name_Hall '-R 3'
loop_
_atom_site_label
_atom_site_type_symbol
_atom_site_fract_x
_atom_site_fract_y
_atom_site_fract_z
Co1 Co 0.0000 0.0000 0.2432
Te1 Te 0.0616 0.2319 0.9083
Te2 Te 0.0835 0.2379 0.4045
O1 O 0.0000 0.0000 0.4135
O2 O 0.0014 0.2532 0.5517
O3 O 0.0516 0.1930 0.8121
O4 O 0.0545 0.1845 0.0693
O5 O 0.0898 0.8862 0.3069
```

Main lines, most intense first (5° ≤ 2θ ≤ 70°):
| two_theta | I_rel |
| --- | --- |
| 28.0 | 100 |
| 32.3 | 50 |
| 27.7 | 37 |
| 46.6 | 24 |
| 46.2 | 24 |
| 55.1 | 24 |
| 21.9 | 16 |
| 55.2 | 12 |
| 54.7 | 12 |
| 57.9 | 11 |

***

Record 3
Theoretical X-ray powder pattern of Co3TeO8 for Cu Kα (λ = 1.5418 Å), from a crystal structure in the Materials Project, relaxed with GGA+U.

Structure:
```
data_Co3TeO8
_cell_length_a 10.410
_cell_length_b 6.005
_cell_length_c 10.424
_cell_angle_alpha 90.00
_cell_angle_beta 109.28
_cell_angle_gamma 90.00
_space_group_name_H-M_alt 'C 1 c 1'
_space_group_IT_number 9
loop_
_space_group_symop_operation_xyz
'x,y,z'
'x,-y,z+1/2'
'x+1/2,y+1/2,z'
'x+1/2,-y+1/2,z+1/2'
loop_
_atom_site_label
_atom_site_type_symbol
_atom_site_fract_x
_atom_site_fract_y
_atom_site_fract_z
Co1 Co 0.000 0.002 0.000
Co2 Co 0.000 0.247 0.751
Co3 Co 0.003 0.495 0.504
Te1 Te 0.499 0.245 0.751
O1 O 0.090 0.232 0.609
O2 O 0.101 0.499 0.865
O3 O 0.103 0.013 0.371
O4 O 0.107 0.255 0.129
O5 O 0.394 0.245 0.875
O6 O 0.396 0.004 0.637
O7 O 0.398 0.492 0.635
O8 O 0.413 0.270 0.395
```

Main lines, most intense first (5° ≤ 2θ ≤ 70°):
| two_theta | I_rel |
| --- | --- |
| 18.1 | 100 |
| 42.5 | 41 |
| 35.0 | 39 |
| 61.7 | 15 |
| 56.1 | 12 |
| 36.6 | 9 |
| 46.6 | 9 |
| 36.7 | 8 |
| 56.3 | 6 |
| 20.9 | 6 |

***

Record 4
Theoretical X-ray powder pattern of Co3TeO8 for Cu Kα (λ = 1.5418 Å), from a crystal structure in the Materials Project, relaxed with GGA+U.

Structure:
```
data_Co3TeO8
_cell_length_a 5.814
_cell_length_b 6.035
_cell_length_c 10.575
_cell_angle_alpha 75.60
_cell_angle_beta 74.09
_cell_angle_gamma 61.51
_space_group_name_H-M_alt 'P -1'
_space_group_IT_number 2
loop_
_space_group_symop_operation_xyz
'x,y,z'
'-x,-y,-z'
loop_
_atom_site_label
_atom_site_type_symbol
_atom_site_fract_x
_atom_site_fract_y
_atom_site_fract_z
Co1 Co 0.000 0.000 0.000
Co2 Co 0.000 0.000 0.500
Co3 Co 0.000 0.500 0.000
Co4 Co 0.500 0.000 0.500
Co5 Co 0.500 0.500 0.000
Co6 Co 0.500 0.500 0.500
Te1 Te 0.000 0.500 0.500
Te2 Te 0.500 0.000 0.000
O1 O 0.116 0.150 0.595
O2 O 0.135 0.654 0.079
O3 O 0.139 0.109 0.105
O4 O 0.152 0.604 0.606
O5 O 0.350 0.894 0.894
O6 O 0.361 0.845 0.418
O7 O 0.367 0.377 0.398
O8 O 0.368 0.357 0.909
```

Main lines, most intense first (5° ≤ 2θ ≤ 70°):
| two_theta | I_rel |
| --- | --- |
| 17.6 | 100 |
| 35.7 | 18 |
| 40.9 | 15 |
| 34.1 | 13 |
| 43.1 | 13 |
| 43.2 | 13 |
| 35.9 | 10 |
| 61.2 | 7 |
| 64.0 | 6 |
| 53.8 | 6 |